[1]
Starting from a PBE-relaxed structure, the X-ray diffraction stick pattern of LuPaOs2 was simulated for a wavelength of 1.5418 Å.
Intensities are scaled so that the largest is 100.

Structural model:
```
4
Lattice="0.0000 3.4132 3.4132 3.4132 0.0000 3.4132 3.4132 3.4132 0.0000" Properties=species:S:1:pos:R:3 pbc="T T T"
Lu 0.0000 0.0000 0.0000
Pa 3.4132 3.4132 3.4132
Os 1.7066 1.7066 1.7066
Os 5.1198 5.1198 5.1198
```

Main lines, low angle first (10° ≤ 2θ ≤ 90°):
| 2θ (°) | I/Imax |
| --- | --- |
| 22.56 | 1 |
| 37.26 | 100 |
| 43.99 | 1 |
| 53.71 | 18 |
| 67.18 | 37 |
| 79.41 | 12 |

---

[2]
Starting from a PBE-relaxed structure, the X-ray diffraction stick pattern of Ba2MnTeSe2 was simulated for a wavelength of 1.5418 Å.
Intensities are scaled so that the largest is 100.

Structural model:
```
24
Lattice="9.3565 0.0000 0.0000 0.0000 4.6711 0.0000 0.0000 0.0000 18.2498" Properties=species:S:1:pos:R:3 pbc="T T T"
Ba 0.7979 1.1678 3.8826
Ba 2.1363 1.1678 17.4666
Ba 2.5419 3.5033 8.3417
Ba 3.8804 3.5033 13.0075
Ba 5.4762 1.1678 5.2423
Ba 6.8146 1.1678 9.9081
Ba 7.2202 3.5033 0.7832
Ba 8.5587 3.5033 14.3672
Mn 1.2598 1.1678 11.6091
Mn 3.4185 3.5033 2.4842
Mn 5.9381 1.1678 15.7656
Mn 8.0967 3.5033 6.6407
Te 0.0349 1.1678 7.3296
Te 4.6434 3.5033 16.4545
Te 4.7132 1.1678 1.7953
Te 9.3216 3.5033 10.9202
Se 1.1687 3.5033 1.3388
Se 1.6703 1.1678 14.0810
Se 3.0079 3.5033 4.9560
Se 3.5096 1.1678 10.4637
Se 5.8470 3.5033 7.7862
Se 6.3486 1.1678 13.2938
Se 7.6862 3.5033 4.1689
Se 8.1879 1.1678 16.9111
```

Main lines, low angle first (10° ≤ 2θ ≤ 90°):
| 2θ (°) | I/Imax |
| --- | --- |
| 26.21 | 50 |
| 26.97 | 33 |
| 27.42 | 81 |
| 28.72 | 51 |
| 28.99 | 100 |
| 30.28 | 24 |
| 32.57 | 40 |
| 34.94 | 25 |
| 36.68 | 27 |
| 38.55 | 60 |
| 45.99 | 21 |
| 48.97 | 31 |

---

[3]
Starting from a PBE-relaxed structure, the X-ray diffraction stick pattern of ErFeCu was simulated for a wavelength of 1.5418 Å.
Intensities are scaled so that the largest is 100.

Structural model:
```
6
Lattice="-2.5167 2.5368 3.7520 2.5167 -2.5368 3.7520 2.5167 2.5368 -3.7520" Properties=species:S:1:pos:R:3 pbc="T T T"
Er 0.0000 1.2684 0.9193
Er 2.5167 1.2684 2.8326
Fe 1.2584 1.2684 -1.8760
Fe 1.2584 -1.2684 1.8760
Cu 2.5167 0.0000 0.0000
Cu 0.0000 0.0000 3.7520
```

Main lines, low angle first (10° ≤ 2θ ≤ 90°):
| 2θ (°) | I/Imax |
| --- | --- |
| 21.14 | 19 |
| 34.67 | 100 |
| 35.38 | 21 |
| 35.67 | 26 |
| 40.23 | 80 |
| 41.65 | 78 |
| 41.84 | 66 |
| 63.06 | 18 |
| 63.44 | 18 |
| 64.81 | 19 |
| 68.16 | 17 |
| 73.15 | 34 |

---

[4]
Starting from a PBE-relaxed structure, the X-ray diffraction stick pattern of SbBr6N2 was simulated for a wavelength of 1.5418 Å.
Intensities are scaled so that the largest is 100.

Structural model:
```
36
Lattice="-5.2962 5.2962 10.6551 5.2962 -5.2962 10.6551 5.2962 5.2962 -10.6551" Properties=species:S:1:pos:R:3 pbc="T T T"
Sb 5.2962 -2.6481 7.9913
Sb 5.2962 2.6481 2.6638
Sb 0.0000 2.6481 7.9913
Sb 0.0000 7.9442 2.6638
Br 5.2962 -2.6481 5.4062
Br 5.2962 5.2320 -8.1161
Br 2.5839 2.6481 -2.7885
Br 2.7122 -2.6481 7.8666
Br 5.2962 0.0625 2.6726
Br 5.2962 -2.6481 10.5765
Br 5.2962 2.6481 0.0790
Br 2.7106 2.6481 2.6549
Br 7.8817 2.6481 2.6549
Br 5.2962 -0.0642 8.1161
Br 0.0000 0.0625 7.9825
Br 5.2962 2.6481 5.2485
Br 0.0000 2.6481 5.4066
Br 5.2962 5.2336 2.6726
Br 0.0000 5.3603 2.5390
Br -2.5856 2.6481 8.0002
Br 2.5856 2.6481 8.0002
Br 0.0000 2.6481 10.5761
Br 0.0000 7.9442 0.0787
Br 0.0000 5.2336 7.9825
Br 2.5839 7.9442 2.7885
Br 2.7122 2.6481 13.4437
Br 0.0000 0.0642 18.7712
Br 0.0000 7.9442 5.2489
N 2.9818 0.0000 0.0000
N 7.6106 0.0000 0.0000
N 2.6481 5.6298 -5.3276
N 2.6481 0.3337 5.3276
N 2.9818 5.2962 0.0000
N 2.3144 0.0000 10.6551
N -2.6481 4.9625 5.3276
N 2.6481 4.9625 5.3276
```

Main lines, low angle first (10° ≤ 2θ ≤ 90°):
| 2θ (°) | I/Imax |
| --- | --- |
| 14.46 | 56 |
| 16.71 | 100 |
| 27.92 | 16 |
| 29.15 | 83 |
| 33.65 | 36 |
| 33.85 | 71 |
| 37.80 | 17 |
| 37.97 | 35 |
| 48.47 | 48 |
| 48.62 | 24 |
| 57.70 | 21 |
| 60.43 | 24 |

---

[5]
Starting from a PBE-relaxed structure, the X-ray diffraction stick pattern of Ba2YMgSbO6 was simulated for a wavelength of 1.5418 Å.
Intensities are scaled so that the largest is 100.

Structural model:
```
11
Lattice="5.4147 -3.1262 0.0000 5.4147 3.1262 0.0000 -3.6151 0.0000 6.5410" Properties=species:S:1:pos:R:3 pbc="T T T"
Ba 0.0000 0.0000 0.0000
Ba 3.6069 0.0000 4.2197
Y 7.2144 0.0000 3.0737
Mg -0.0039 0.0000 4.5193
Sb 3.6044 0.0000 0.8770
O -1.9109 0.0000 4.5901
O 0.9483 1.6516 4.5933
O 2.7596 1.4523 1.8753
O 2.7596 -1.4523 1.8753
O 5.2758 0.0000 1.8906
O 0.9483 -1.6516 4.5933
```

Main lines, low angle first (10° ≤ 2θ ≤ 90°):
| 2θ (°) | I/Imax |
| --- | --- |
| 18.72 | 58 |
| 24.49 | 19 |
| 28.08 | 51 |
| 28.55 | 100 |
| 36.08 | 24 |
| 37.96 | 15 |
| 39.89 | 31 |
| 46.64 | 18 |
| 50.28 | 21 |
| 50.57 | 20 |
| 55.60 | 14 |
| 59.10 | 19 |